# Ce4P2AuS
Theoretical PXRD pattern, Cu Kα (λ = 1.5418 Å). Input: a crystal structure in Alexandria, relaxed with GGA-PBE.
No peak broadening, texture or thermal motion is included.

Structure:
```
8
Lattice="7.191 0.000 0.000 0.000 4.078 0.000 -2.343 0.000 6.834" Properties=species:S:1:pos:R:3 pbc="T T T"
Ce 1.153 0.000 1.603
Ce -0.030 2.039 5.195
Ce 4.877 2.039 1.639
Ce 3.695 0.000 5.231
P 0.000 2.039 0.000
P 3.595 0.000 0.000
Au 2.424 2.039 3.417
S -1.172 0.000 3.417
```

The 10 most intense peaks (2θ from 10° to 90°), in order of rising 2θ:
- 2θ 13.0, I = 15, (1 0 0)
- 2θ 25.4, I = 14, (1 1 0)
- 2θ 30.5, I = 50, (2 0 -2)
- 2θ 30.6, I = 100, (1 1 1)
- 2θ 43.2, I = 19, (2 0 2)
- 2θ 43.7, I = 37, (1 1 -3)
- 2θ 43.8, I = 37, (3 1 -1)
- 2θ 44.4, I = 18, (0 2 0)
- 2θ 54.8, I = 19, (2 2 -2)
- 2θ 72.2, I = 16, (5 1 -3)